1.
Structure and theoretical PXRD pattern of Ca3Ta2O8 (DFT lattice parameters and positions (PBE); a wavelength of 1.5418 Å).

Crystal structure
a = 6.712 Å, b = 6.712 Å, c = 9.175 Å
α = 107.40°, β = 107.40°, γ = 82.84°
Fractional positions:
Ca: 0.104 0.234 0.000
Ca: 0.224 0.776 0.750
Ca: 0.234 0.104 0.500
Ca: 0.766 0.896 0.500
Ca: 0.776 0.224 0.250
Ca: 0.896 0.766 0.000
Ta: 0.282 0.566 0.379
Ta: 0.434 0.718 0.121
Ta: 0.566 0.282 0.879
Ta: 0.718 0.434 0.621
O: 0.099 0.783 0.469
O: 0.125 0.321 0.321
O: 0.191 0.561 0.144
O: 0.217 0.901 0.031
O: 0.321 0.125 0.821
O: 0.393 0.555 0.888
O: 0.439 0.809 0.356
O: 0.445 0.607 0.612
O: 0.555 0.393 0.388
O: 0.561 0.191 0.644
O: 0.607 0.445 0.112
O: 0.679 0.875 0.179
O: 0.783 0.099 0.969
O: 0.809 0.439 0.856
O: 0.875 0.679 0.679
O: 0.901 0.217 0.531

The 10 most intense peaks (5° ≤ 2θ ≤ 70°), in order of rising 2θ:
- 2θ = 13.84°, rel. 100
- 2θ = 19.23°, rel. 45
- 2θ = 19.61°, rel. 63
- 2θ = 22.20°, rel. 34
- 2θ = 22.64°, rel. 89
- 2θ = 28.45°, rel. 48
- 2θ = 30.06°, rel. 44
- 2θ = 31.07°, rel. 60
- 2θ = 31.75°, rel. 34
- 2θ = 32.57°, rel. 45

2.
Structure and theoretical PXRD pattern of Pr8Br13N3O (DFT lattice parameters and positions (PBE); a wavelength of 1.5418 Å).

Crystal structure
a = 11.936 Å, b = 11.936 Å, c = 17.138 Å
α = 117.15°, β = 117.15°, γ = 41.92°
Fractional positions:
Pr: 0.036 0.964 0.500
Pr: 0.142 0.991 0.831
Pr: 0.182 0.545 0.946
Pr: 0.328 0.688 0.326
Pr: 0.438 0.983 0.501
Pr: 0.447 0.891 0.274
Pr: 0.545 0.182 0.446
Pr: 0.688 0.328 0.826
Pr: 0.735 0.877 0.942
Pr: 0.838 0.909 0.274
Pr: 0.877 0.735 0.442
Pr: 0.891 0.447 0.774
Pr: 0.909 0.838 0.774
Pr: 0.964 0.036 0.000
Pr: 0.983 0.438 0.001
Pr: 0.991 0.142 0.331
Br: 0.042 0.232 0.525
Br: 0.066 0.179 0.204
Br: 0.069 0.806 0.637
Br: 0.133 0.438 0.749
Br: 0.163 0.563 0.160
Br: 0.179 0.066 0.704
Br: 0.184 0.334 0.449
Br: 0.232 0.042 0.025
Br: 0.232 0.574 0.415
Br: 0.300 0.643 0.857
Br: 0.310 0.712 0.115
Br: 0.334 0.184 0.949
Br: 0.436 0.741 0.523
Br: 0.438 0.133 0.249
Br: 0.542 0.685 0.824
Br: 0.563 0.163 0.660
Br: 0.574 0.232 0.915
Br: 0.641 0.831 0.747
Br: 0.643 0.300 0.357
Br: 0.685 0.542 0.324
Br: 0.693 0.809 0.071
Br: 0.712 0.310 0.615
Br: 0.741 0.436 0.023
Br: 0.806 0.069 0.137
Br: 0.809 0.693 0.571
Br: 0.831 0.641 0.247
N: 0.053 0.918 0.350
N: 0.571 0.947 0.418
N: 0.823 0.956 0.422
N: 0.918 0.053 0.850
N: 0.947 0.571 0.918
N: 0.956 0.823 0.922
O: 0.300 0.926 0.354
O: 0.926 0.300 0.854

The 10 most intense peaks (5° ≤ 2θ ≤ 70°), in order of rising 2θ:
- 2θ = 11.32°, rel. 53
- 2θ = 11.84°, rel. 64
- 2θ = 22.35°, rel. 52
- 2θ = 29.30°, rel. 64
- 2θ = 29.49°, rel. 63
- 2θ = 31.07°, rel. 68
- 2θ = 31.53°, rel. 48
- 2θ = 31.77°, rel. 49
- 2θ = 31.93°, rel. 87
- 2θ = 32.44°, rel. 100

3.
Structure and theoretical PXRD pattern of Na6P4Pb3S16 (DFT lattice parameters and positions (PBE); a wavelength of 1.5418 Å).

Crystal structure
a = 11.534 Å, b = 11.534 Å, c = 11.534 Å
α = 116.82°, β = 116.82°, γ = 116.82°
Fractional positions:
Na: 0.021 0.215 0.764
Na: 0.021 0.764 0.215
Na: 0.215 0.021 0.764
Na: 0.215 0.764 0.021
Na: 0.764 0.021 0.215
Na: 0.764 0.215 0.021
P: 0.127 0.600 0.600
P: 0.600 0.127 0.600
P: 0.600 0.600 0.127
P: 0.785 0.785 0.785
Pb: 0.378 0.378 0.643
Pb: 0.378 0.643 0.378
Pb: 0.643 0.378 0.378
S: 0.006 0.833 0.833
S: 0.173 0.470 0.470
S: 0.399 0.570 0.937
S: 0.399 0.937 0.570
S: 0.427 0.935 0.935
S: 0.455 0.455 0.455
S: 0.470 0.173 0.470
S: 0.470 0.470 0.173
S: 0.570 0.399 0.937
S: 0.570 0.937 0.399
S: 0.833 0.006 0.833
S: 0.833 0.833 0.006
S: 0.935 0.427 0.935
S: 0.935 0.935 0.427
S: 0.937 0.399 0.570
S: 0.937 0.570 0.399

The 10 most intense peaks (5° ≤ 2θ ≤ 70°), in order of rising 2θ:
- 2θ = 15.12°, rel. 99
- 2θ = 15.62°, rel. 100
- 2θ = 23.63°, rel. 94
- 2θ = 23.96°, rel. 62
- 2θ = 25.33°, rel. 41
- 2θ = 29.90°, rel. 39
- 2θ = 31.29°, rel. 41
- 2θ = 35.15°, rel. 55
- 2θ = 35.67°, rel. 40
- 2θ = 36.58°, rel. 55

4.
Structure and theoretical PXRD pattern of Lu2Br2O (DFT lattice parameters and positions (PBE); a wavelength of 1.5418 Å).

Crystal structure
a = 4.031 Å, b = 4.031 Å, c = 14.122 Å
α = 90.00°, β = 90.00°, γ = 90.00°
Fractional positions:
Lu: 0.000 0.000 0.141
Lu: 0.000 0.000 0.859
Br: 0.000 0.000 0.322
Br: 0.000 0.000 0.678
O: 0.000 0.000 0.000

The 10 most intense peaks (5° ≤ 2θ ≤ 70°), in order of rising 2θ:
- 2θ = 6.26°, rel. 72
- 2θ = 12.54°, rel. 16
- 2θ = 22.05°, rel. 100
- 2θ = 22.95°, rel. 17
- 2θ = 31.39°, rel. 41
- 2θ = 33.75°, rel. 28
- 2θ = 40.69°, rel. 17
- 2θ = 44.58°, rel. 15
- 2θ = 44.97°, rel. 19
- 2θ = 50.63°, rel. 31